Record 1
The following is a theoretical XRD peak list of SnMoPt3. It was derived from a DFT-relaxed cell (GGA-PBE, Alexandria), using Cu Kα.
Intensities are scaled so that the largest is 100.

Most intense lines, 2θ = 10–90°, low angle first:
2theta	I/Imax
18.2	24
31.8	100
36.9	90
41.4	11
53.1	63
63.3	44
66.4	22
87.2	19

Atomic structure:
Cell: 4.8746 4.8746 4.8746 Å, 90.00 90.00 90.00°
Element x y z (fractional)
Sn  0.0000  0.0000  0.0000
Mo  0.5000  0.5000  0.5000
Pt  0.0000  0.5000  0.5000
Pt  0.5000  0.0000  0.5000
Pt  0.5000  0.5000  0.0000



Record 2
The following is a theoretical XRD peak list of TaZnMo2Pt. It was derived from a DFT-relaxed cell (GGA-PBE, Alexandria), using Cu Kα.
Intensities are scaled so that the largest is 100.

Most intense lines, 2θ = 10–90°, low angle first:
2theta	I/Imax
26.3	36
27.2	100
33.1	45
37.5	99
40.1	41
46.9	47
54.1	34
56.0	61

Atomic structure:
Cell: 4.7987 4.7987 4.4989 Å, 90.00 90.00 90.00°
Element x y z (fractional)
Ta  0.0000  0.0000  0.0000
Zn  0.5000  0.5000  0.0000
Mo  0.0000  0.5000  0.5000
Mo  0.5000  0.0000  0.5000
Pt  0.5000  0.5000  0.5000



Record 3
The following is a theoretical XRD peak list of TcMoPt. It was derived from a DFT-relaxed cell (GGA-PBE, Alexandria), using Cu Kα.
Intensities are scaled so that the largest is 100.

Most intense lines, 2θ = 10–90°, low angle first:
2theta	I/Imax
24.2	19
39.0	100
40.4	90
44.4	35
47.0	58
66.6	51
81.0	24
83.7	33

Atomic structure:
Cell: 4.8625 4.8625 4.8625 Å, 148.18 130.34 60.20°
Element x y z (fractional)
Tc  0.0000  0.0000  0.0000
Mo  0.6641  0.6641  0.0000
Pt  0.3340  0.3340  0.0000